# 1
Structure and computed XRD peak list of SrSn2H10Cl6O5 (the PBE geometry in the Materials Project; Cu Ka).

Cell and atoms:
Unit cell a=9.6951 b=9.6951 c=9.2947 alpha=110.41 beta=110.41 gamma=76.55
Atoms (fractional coordinates):
Sr: 0.0085 0.9915 0.7500
Sr: 0.9915 0.0085 0.2500
Sn: 0.2604 0.4743 0.0210
Sn: 0.4743 0.2604 0.5210
Sn: 0.5257 0.7396 0.4790
Sn: 0.7396 0.5257 0.9790
H: 0.0534 0.2469 0.6200
H: 0.0661 0.2972 0.2230
H: 0.0776 0.3416 0.4043
H: 0.1135 0.7694 0.4536
H: 0.2153 0.6758 0.7380
H: 0.2306 0.8865 0.0464
H: 0.2469 0.0534 0.1200
H: 0.2972 0.0661 0.7230
H: 0.3242 0.7847 0.7620
H: 0.3416 0.0776 0.9043
H: 0.6584 0.9224 0.0957
H: 0.6758 0.2153 0.2380
H: 0.7028 0.9339 0.2770
H: 0.7531 0.9466 0.8800
H: 0.7694 0.1135 0.9536
H: 0.7847 0.3242 0.2620
H: 0.8865 0.2306 0.5464
H: 0.9224 0.6584 0.5957
H: 0.9339 0.7028 0.7770
H: 0.9466 0.7531 0.3800
Cl: 0.0260 0.6852 0.0307
Cl: 0.1750 0.4460 0.7070
Cl: 0.3109 0.5803 0.4024
Cl: 0.3148 0.9740 0.4693
Cl: 0.4197 0.6891 0.0976
Cl: 0.4460 0.1750 0.2070
Cl: 0.5540 0.8250 0.7930
Cl: 0.5803 0.3109 0.9024
Cl: 0.6852 0.0260 0.5307
Cl: 0.6891 0.4197 0.5976
Cl: 0.8250 0.5540 0.2930
Cl: 0.9740 0.3148 0.9693
O: 0.0154 0.8294 0.4364
O: 0.0942 0.2567 0.3140
O: 0.1706 0.9846 0.0636
O: 0.2206 0.7794 0.7500
O: 0.2567 0.0942 0.8140
O: 0.7433 0.9058 0.1860
O: 0.7794 0.2206 0.2500
O: 0.8294 0.0154 0.9364
O: 0.9058 0.7433 0.6860
O: 0.9846 0.1706 0.5636

Top 6 peaks for 2θ from 15° to 90°, most intense first:
- 2θ = 19.45°, rel. 100
- 2θ = 30.80°, rel. 73
- 2θ = 30.53°, rel. 66
- 2θ = 26.09°, rel. 55
- 2θ = 20.89°, rel. 52
- 2θ = 40.99°, rel. 38

# 2
Structure and computed XRD peak list of SrH12Cl2O6 (the PBE geometry in the Materials Project; Cu Ka).

Cell and atoms:
Unit cell a=7.9970 b=7.9970 c=4.1958 alpha=90.00 beta=90.00 gamma=120.00
Atoms (fractional coordinates):
Sr: 0.0000 0.0000 0.0000
H: 0.0998 0.4447 0.0931
H: 0.1128 0.7561 0.5028
H: 0.2439 0.3567 0.5028
H: 0.3449 0.9002 0.0931
H: 0.3567 0.2439 0.4972
H: 0.4447 0.0998 0.9069
H: 0.5553 0.6551 0.0931
H: 0.6433 0.8872 0.5028
H: 0.6551 0.5553 0.9069
H: 0.7561 0.1128 0.4972
H: 0.8872 0.6433 0.4972
H: 0.9002 0.3449 0.9069
Cl: 0.3333 0.6667 0.3812
Cl: 0.6667 0.3333 0.6188
O: 0.0000 0.3217 0.0000
O: 0.0000 0.7753 0.5000
O: 0.2247 0.2247 0.5000
O: 0.3217 0.0000 0.0000
O: 0.6783 0.6783 0.0000
O: 0.7753 0.0000 0.5000

Top 6 peaks for 2θ from 15° to 90°, most intense first:
- 2θ = 40.62°, rel. 100
- 2θ = 24.81°, rel. 97
- 2θ = 22.23°, rel. 87
- 2θ = 33.56°, rel. 79
- 2θ = 39.02°, rel. 60
- 2θ = 30.89°, rel. 38

# 3
Structure and computed XRD peak list of SrHClO (the PBE geometry in the Materials Project; Cu Ka).

Cell and atoms:
Unit cell a=4.1826 b=4.1826 c=10.0797 alpha=90.00 beta=90.00 gamma=120.00
Atoms (fractional coordinates):
Sr: 0.3333 0.6667 0.0000
Sr: 0.6667 0.3333 0.5000
H: 0.0000 0.0000 0.1630
H: 0.0000 0.0000 0.6630
Cl: 0.3333 0.6667 0.3134
Cl: 0.6667 0.3333 0.8134
O: 0.0000 0.0000 0.0662
O: 0.0000 0.0000 0.5662

Top 6 peaks for 2θ from 15° to 90°, most intense first:
- 2θ = 26.14°, rel. 100
- 2θ = 36.48°, rel. 93
- 2θ = 43.26°, rel. 50
- 2θ = 17.60°, rel. 47
- 2θ = 57.84°, rel. 23
- 2θ = 47.05°, rel. 23

# 4
Structure and computed XRD peak list of SrH4Cl2O2 (the PBE geometry in the Materials Project; Cu Ka).

Cell and atoms:
Unit cell a=6.7489 b=6.7489 c=6.7226 alpha=103.57 beta=103.57 gamma=57.22
Atoms (fractional coordinates):
Sr: 0.2432 0.7568 0.7500
Sr: 0.7568 0.2432 0.2500
H: 0.0742 0.6835 0.1199
H: 0.1488 0.2312 0.0496
H: 0.2312 0.1488 0.5496
H: 0.3165 0.9258 0.3801
H: 0.6835 0.0742 0.6199
H: 0.7688 0.8512 0.4504
H: 0.8512 0.7688 0.9504
H: 0.9258 0.3165 0.8801
Cl: 0.2602 0.4477 0.3467
Cl: 0.4477 0.2602 0.8467
Cl: 0.5523 0.7398 0.1533
Cl: 0.7398 0.5523 0.6533
O: 0.0277 0.1909 0.9737
O: 0.1909 0.0277 0.4737
O: 0.8091 0.9723 0.5263
O: 0.9723 0.8091 0.0263

Top 6 peaks for 2θ from 15° to 90°, most intense first:
- 2θ = 27.52°, rel. 100
- 2θ = 19.49°, rel. 63
- 2θ = 15.52°, rel. 60
- 2θ = 33.34°, rel. 58
- 2θ = 31.82°, rel. 36
- 2θ = 42.84°, rel. 33